This entry pairs a crystal structure of Mn3BiO8 with its computed XRD peak list. Radiation: a wavelength of 1.5418 Å. Structure: a structure optimized by DFT (GGA+U).
Neutral-atom scattering factors, no anomalous dispersion.

Structural model:
```
48
Lattice="8.6262 0.0000 0.0000 0.0000 8.6262 0.0000 0.0000 0.0000 8.6262" Properties=species:S:1:pos:R:3 pbc="T T T"
Mn 0.8668 1.2898 5.3914
Mn 1.0783 3.4463 7.3364
Mn 1.2898 5.3914 0.8668
Mn 3.0233 3.2348 5.1799
Mn 3.2348 5.1799 3.0233
Mn 3.4463 7.3364 1.0783
Mn 5.1799 3.0233 3.2348
Mn 5.3914 0.8668 1.2898
Mn 5.6029 7.5479 7.7594
Mn 7.3364 1.0783 3.4463
Mn 7.5479 7.7594 5.6029
Mn 7.7594 5.6029 7.5479
Bi 1.0783 7.5479 3.2348
Bi 3.2348 1.0783 7.5479
Bi 5.3914 5.3914 5.3914
Bi 7.5479 3.2348 1.0783
O 0.6354 1.1803 3.4701
O 0.8430 7.9908 5.4934
O 0.9762 1.5212 7.3127
O 1.0721 5.3852 7.5541
O 1.0845 3.2286 5.3976
O 1.1803 3.4701 0.6354
O 1.3135 5.2893 2.7919
O 1.5212 7.3127 0.9762
O 2.7919 1.3135 5.2893
O 2.9996 3.3369 7.1050
O 3.1328 5.1561 4.9485
O 3.2286 5.3976 1.0845
O 3.2410 3.2410 3.2410
O 3.3369 7.1050 2.9996
O 3.4701 0.6354 1.1803
O 3.6777 7.4459 7.7832
O 4.9485 3.1328 5.1561
O 5.1561 4.9485 3.1328
O 5.2893 2.7919 1.3135
O 5.3852 7.5541 1.0721
O 5.3976 1.0845 3.2286
O 5.4934 0.8430 7.9908
O 5.6266 7.6500 5.8343
O 5.8343 5.6266 7.6500
O 7.1050 2.9996 3.3369
O 7.3127 0.9762 1.5212
O 7.4459 7.7832 3.6777
O 7.5417 7.5417 7.5417
O 7.5541 1.0721 5.3852
O 7.6500 5.8343 5.6266
O 7.7832 3.6777 7.4459
O 7.9908 5.4934 0.8430
```

Top 10 peaks for 10 to 80 degrees two-theta, low angle first:
(1 1 1), 17.81°, intensity 100; (2 1 0), 23.05°, intensity 36; (2 1 1), 25.29°, intensity 23; (3 1 1), 34.48°, intensity 43; (2 2 2), 36.07°, intensity 26; (3 2 0), 37.60°, intensity 17; (4 0 0), 41.89°, intensity 40; (4 3 2), 57.54°, intensity 16; (4 4 0), 60.74°, intensity 20; (5 3 1), 63.84°, intensity 15